# ErPaNiO6
Simulated XRD peak list, Cu Kα (λ = 1.5418 Å). Input: a crystal structure in Alexandria, relaxed with PBE+U.
Intensities are scaled so that the largest is 100.

Atomic structure:
abc: 5.3408 5.3408 4.8012
angles: 90.00 90.00 120.00
Space group P312 (No. 149)
Unique sites:
Er (0.0000, 0.0000, 0.0000) (multiplicity 1)
Pa (0.3333, 0.6667, 0.5000) (multiplicity 1)
Ni (0.6667, 0.3333, 0.0000) (multiplicity 1)
O (0.3649, 0.0145, 0.2371) (multiplicity 6)

Largest 8 diffraction maxima, low angle first, 10 to 90 degrees two-theta:
d_spacing	two_theta	I_rel	h k l
4.625	19.19	15	1 0 0
3.331	26.76	100	1 0 1
2.670	33.56	38	1 1 0
2.084	43.43	28	2 0 1
1.785	51.17	34	2 -1 2
1.643	55.98	27	2 1 1
1.542	60.00	12	3 0 0
1.239	76.93	11	4 -1 1